No. 1
Diffraction record for CaPu2H8. The powder diffraction line list is computed, not measured: it uses a cell relaxed with GGA-PBE and Cu Kα, 1.54184 Å.

Crystal structure
a = 3.764 Å, b = 5.079 Å, c = 11.276 Å
α = 90.00°, β = 90.00°, γ = 90.00°
Space group Immm (No. 71)
Inequivalent atoms, fractional coordinates:
Ca  0.000  0.000  0.000 [2 per cell]
Pu  0.000  0.000  0.322 [4 per cell]
H  0.000  0.218  0.500 [4 per cell]
H  0.000  0.266  0.157 [8 per cell]
H  0.000  0.500  0.314 [4 per cell]

Principal peaks in the range 10 to 80 degrees two-theta, most intense first:
2θ (°), I_rel
29.6, 100
33.7, 51
57.7, 29
15.7, 26
49.6, 25
35.3, 16
59.9, 14
19.2, 14

No. 2
Diffraction record for CaHRh2. The powder diffraction line list is computed, not measured: it uses a cell relaxed with GGA-PBE and Cu Kα, 1.54184 Å.

Crystal structure
a = 7.897 Å, b = 7.897 Å, c = 7.897 Å
α = 90.00°, β = 90.00°, γ = 90.00°
Space group Fd-3m (No. 227, origin choice 2)
Inequivalent atoms, fractional coordinates:
Ca  0.125  0.125  0.125 [8 per cell]
H  0.125  0.125  0.625 [8 per cell]
Rh  0.000  0.000  0.500 [16 per cell]

Principal peaks in the range 10 to 80 degrees two-theta, most intense first:
2θ (°), I_rel
37.8, 100
39.5, 73
19.5, 60
61.0, 31
67.0, 31
46.0, 23
50.4, 14
79.6, 11

No. 3
Diffraction record for CaH3Rh. The powder diffraction line list is computed, not measured: it uses a cell relaxed with GGA-PBE and Cu Kα, 1.54184 Å.

Crystal structure
a = 11.801 Å, b = 3.712 Å, c = 4.921 Å
α = 90.00°, β = 91.87°, γ = 90.00°
Space group C2/m (No. 12)
Inequivalent atoms, fractional coordinates:
Ca  0.143  0.000  0.232 [4 per cell]
H  0.069  0.500  0.389 [4 per cell]
H  0.077  0.000  0.746 [4 per cell]
H  0.184  0.500  0.961 [4 per cell]
Rh  0.073  0.500  0.744 [4 per cell]

Principal peaks in the range 10 to 80 degrees two-theta, most intense first:
2θ (°), I_rel
15.0, 100
25.2, 89
38.4, 89
37.7, 88
31.0, 80
36.5, 74
35.0, 60
31.3, 55

No. 4
Diffraction record for Ca4H12Rh3. The powder diffraction line list is computed, not measured: it uses a cell relaxed with GGA-PBE and Cu Kα, 1.54184 Å.

Crystal structure
a = 7.266 Å, b = 7.266 Å, c = 7.266 Å
α = 90.00°, β = 90.00°, γ = 90.00°
Space group Im-3m (No. 229)
Inequivalent atoms, fractional coordinates:
Ca  0.250  0.250  0.250 [8 per cell]
H  0.000  0.000  0.264 [12 per cell]
H  0.000  0.250  0.500 [12 per cell]
Rh  0.000  0.000  0.500 [6 per cell]

Principal peaks in the range 10 to 80 degrees two-theta, most intense first:
2θ (°), I_rel
34.9, 100
62.6, 34
17.3, 29
50.2, 18
30.1, 15
24.5, 13
73.8, 11
46.8, 8

No. 5
Diffraction record for Ca6HRh2. The powder diffraction line list is computed, not measured: it uses a cell relaxed with GGA-PBE and Cu Kα, 1.54184 Å.

Crystal structure
a = 6.448 Å, b = 7.617 Å, c = 11.301 Å
α = 90.00°, β = 123.86°, γ = 90.00°
Space group P2_1/c (No. 14)
Inequivalent atoms, fractional coordinates:
Ca  0.109  0.163  0.435 [4 per cell]
Ca  0.280  0.680  0.435 [4 per cell]
Ca  0.384  0.041  0.253 [4 per cell]
H  0.500  0.000  0.500 [2 per cell]
Rh  0.207  0.118  0.748 [4 per cell]

Principal peaks in the range 10 to 80 degrees two-theta, most intense first:
2θ (°), I_rel
18.0, 100
37.2, 79
18.9, 78
20.3, 63
33.5, 62
20.5, 62
34.2, 57
33.8, 57

No. 6
Diffraction record for CaH2RhSe. The powder diffraction line list is computed, not measured: it uses a cell relaxed with GGA-PBE and Cu Kα, 1.54184 Å.

Crystal structure
a = 3.851 Å, b = 3.851 Å, c = 5.005 Å
α = 90.00°, β = 90.00°, γ = 90.00°
Space group P4/mmm (No. 123)
Inequivalent atoms, fractional coordinates:
Ca  0.000  0.000  0.000 [1 per cell]
H  0.000  0.500  0.500 [2 per cell]
Rh  0.500  0.500  0.500 [1 per cell]
Se  0.500  0.500  0.000 [1 per cell]

Principal peaks in the range 10 to 80 degrees two-theta, most intense first:
2θ (°), I_rel
23.1, 100
32.9, 100
49.5, 62
35.9, 41
43.1, 38
47.2, 37
60.7, 34
29.3, 26